1.
The following is a simulated X-ray powder pattern of KSrCeNbO6. It was derived from a structure optimized by DFT (PBE), using a wavelength of 1.5418 Å.
Intensities are scaled so that the largest is 100.

Most intense lines, 10° ≤ 2θ ≤ 90°, by intensity:
2θ (°), d_spacing, intensity
29.8, 2.999, 100
52.8, 1.732, 27
42.6, 2.123, 23
20.9, 4.242, 22
61.8, 1.500, 14
52.9, 1.730, 13

Crystal structure
a = 8.4667 Å, b = 8.4828 Å, c = 8.4994 Å
α = 90.00°, β = 90.00°, γ = 90.00°
Atoms (fractional coordinates):
K (0.2500, 0.2500, 0.2500)
K (0.2500, 0.7500, 0.7500)
K (0.7500, 0.2500, 0.2500)
K (0.7500, 0.7500, 0.7500)
Sr (0.2500, 0.2500, 0.7500)
Sr (0.2500, 0.7500, 0.2500)
Sr (0.7500, 0.2500, 0.7500)
Sr (0.7500, 0.7500, 0.2500)
Ce (0.0000, 0.0000, 0.0000)
Ce (0.0000, 0.5000, 0.5000)
Ce (0.5000, 0.0000, 0.5000)
Ce (0.5000, 0.5000, 0.0000)
Nb (0.0000, 0.0000, 0.5000)
Nb (0.0000, 0.5000, 0.0000)
Nb (0.5000, 0.0000, 0.0000)
Nb (0.5000, 0.5000, 0.5000)
O (0.0136, 0.0265, 0.7370)
O (0.0136, 0.4735, 0.7630)
O (0.0147, 0.7371, 0.9968)
O (0.0147, 0.7629, 0.5032)
O (0.2367, 0.0123, 0.4866)
O (0.2367, 0.4877, 0.0134)
O (0.2633, 0.0123, 0.0134)
O (0.2633, 0.4877, 0.4866)
O (0.4853, 0.7371, 0.5032)
O (0.4853, 0.7629, 0.9968)
O (0.4864, 0.0265, 0.7630)
O (0.4864, 0.4735, 0.7370)
O (0.5136, 0.5265, 0.2630)
O (0.5136, 0.9735, 0.2370)
O (0.5147, 0.2371, 0.0032)
O (0.5147, 0.2629, 0.4968)
O (0.7367, 0.5123, 0.5134)
O (0.7367, 0.9877, 0.9866)
O (0.7633, 0.5123, 0.9866)
O (0.7633, 0.9877, 0.5134)
O (0.9853, 0.2371, 0.4968)
O (0.9853, 0.2629, 0.0032)
O (0.9864, 0.5265, 0.2370)
O (0.9864, 0.9735, 0.2630)


2.
The following is a simulated X-ray powder pattern of KCeP4O12. It was derived from a structure optimized by DFT (PBE), using a wavelength of 1.5418 Å.
Intensities are scaled so that the largest is 100.

Most intense lines, 10° ≤ 2θ ≤ 90°, by intensity:
2θ (°), d_spacing, intensity
16.1, 5.522, 100
26.5, 3.366, 84
26.9, 3.316, 84
26.7, 3.336, 60
29.3, 3.050, 58
28.5, 3.129, 54

Crystal structure
a = 7.2602 Å, b = 8.4754 Å, c = 8.1976 Å
α = 90.00°, β = 92.27°, γ = 90.00°
Atoms (fractional coordinates):
K (0.2049, 0.0000, 0.2754)
K (0.7951, 0.5000, 0.7246)
Ce (0.2696, 0.2478, 0.7525)
Ce (0.7304, 0.7478, 0.2475)
P (0.0514, 0.8741, 0.8974)
P (0.1345, 0.5127, 0.3953)
P (0.3890, 0.6718, 0.9017)
P (0.4951, 0.8855, 0.6250)
P (0.5049, 0.3855, 0.3750)
P (0.6110, 0.1718, 0.0983)
P (0.8655, 0.0127, 0.6047)
P (0.9486, 0.3741, 0.1026)
O (0.0472, 0.6665, 0.3439)
O (0.0562, 0.3694, 0.2788)
O (0.0854, 0.3456, 0.9725)
O (0.1220, 0.4598, 0.5695)
O (0.1725, 0.7153, 0.8747)
O (0.1746, 0.0156, 0.9202)
O (0.3155, 0.9717, 0.5985)
O (0.3467, 0.5178, 0.3455)
O (0.4166, 0.5137, 0.8230)
O (0.4419, 0.2690, 0.4995)
O (0.4501, 0.6969, 0.0769)
O (0.4986, 0.3040, 0.1970)
O (0.5014, 0.8040, 0.8030)
O (0.5499, 0.1969, 0.9231)
O (0.5581, 0.7690, 0.5005)
O (0.5834, 0.0137, 0.1770)
O (0.6533, 0.0178, 0.6545)
O (0.6845, 0.4717, 0.4015)
O (0.8254, 0.5156, 0.0798)
O (0.8275, 0.2153, 0.1253)
O (0.8780, 0.9598, 0.4305)
O (0.9146, 0.8456, 0.0275)
O (0.9438, 0.8694, 0.7212)
O (0.9528, 0.1665, 0.6561)


3.
The following is a simulated X-ray powder pattern of K2CeSi6O15. It was derived from a structure optimized by DFT (PBE), using a wavelength of 1.5418 Å.
Intensities are scaled so that the largest is 100.

Most intense lines, 10° ≤ 2θ ≤ 90°, by intensity:
2θ (°), d_spacing, intensity
18.3, 4.847, 100
27.0, 3.299, 76
22.5, 3.957, 73
30.9, 2.897, 72
20.0, 4.450, 71
27.9, 3.195, 67

Crystal structure
a = 9.9687 Å, b = 9.9687 Å, c = 12.0132 Å
α = 127.01°, β = 127.01°, γ = 52.63°
Atoms (fractional coordinates):
K (0.0972, 0.7460, 0.9987)
K (0.2540, 0.9028, 0.5013)
K (0.7460, 0.0972, 0.4987)
K (0.9028, 0.2540, 0.0013)
Ce (0.1672, 0.8328, 0.7500)
Ce (0.8328, 0.1672, 0.2500)
Si (0.0987, 0.5734, 0.3555)
Si (0.1966, 0.2535, 0.8771)
Si (0.2535, 0.1966, 0.3771)
Si (0.3725, 0.4365, 0.2258)
Si (0.4266, 0.9013, 0.1445)
Si (0.4365, 0.3725, 0.7258)
Si (0.5635, 0.6275, 0.2742)
Si (0.5734, 0.0987, 0.8555)
Si (0.6275, 0.5635, 0.7742)
Si (0.7465, 0.8034, 0.6229)
Si (0.8034, 0.7465, 0.1229)
Si (0.9013, 0.4266, 0.6445)
O (0.0620, 0.7576, 0.4985)
O (0.0782, 0.4066, 0.8014)
O (0.0918, 0.1235, 0.7950)
O (0.1235, 0.0918, 0.2950)
O (0.1333, 0.3945, 0.3606)
O (0.2251, 0.3725, 0.0554)
O (0.2424, 0.9380, 0.0015)
O (0.2725, 0.5670, 0.7566)
O (0.2780, 0.5313, 0.3435)
O (0.3725, 0.2251, 0.5554)
O (0.3930, 0.6070, 0.2500)
O (0.3945, 0.1333, 0.8606)
O (0.4066, 0.0782, 0.3014)
O (0.4330, 0.7275, 0.7434)
O (0.4687, 0.7220, 0.1565)
O (0.5313, 0.2780, 0.8435)
O (0.5670, 0.2725, 0.2566)
O (0.5934, 0.9218, 0.6986)
O (0.6055, 0.8667, 0.1394)
O (0.6070, 0.3930, 0.7500)
O (0.6275, 0.7749, 0.4446)
O (0.7220, 0.4687, 0.6565)
O (0.7275, 0.4330, 0.2434)
O (0.7576, 0.0620, 0.9985)
O (0.7749, 0.6275, 0.9446)
O (0.8667, 0.6055, 0.6394)
O (0.8765, 0.9082, 0.7050)
O (0.9082, 0.8765, 0.2050)
O (0.9218, 0.5934, 0.1986)
O (0.9380, 0.2424, 0.5015)


4.
The following is a simulated X-ray powder pattern of K2CeTa5O15. It was derived from a structure optimized by DFT (PBE), using a wavelength of 1.5418 Å.
Intensities are scaled so that the largest is 100.

Most intense lines, 10° ≤ 2θ ≤ 90°, by intensity:
2θ (°), d_spacing, intensity
31.8, 2.817, 100
22.5, 3.952, 67
29.0, 3.081, 66
25.3, 3.524, 60
56.2, 1.636, 59
31.5, 2.841, 54

Crystal structure
a = 12.7043 Å, b = 12.7043 Å, c = 3.9523 Å
α = 90.00°, β = 90.00°, γ = 90.00°
Atoms (fractional coordinates):
K (0.1691, 0.3309, 0.0000)
K (0.3309, 0.8309, 0.0000)
K (0.6691, 0.1691, 0.0000)
K (0.8309, 0.6691, 0.0000)
Ce (0.0000, 0.0000, 0.0000)
Ce (0.5000, 0.5000, 0.0000)
Ta (0.0000, 0.5000, 0.5000)
Ta (0.0764, 0.7866, 0.5000)
Ta (0.2134, 0.0764, 0.5000)
Ta (0.2866, 0.5764, 0.5000)
Ta (0.4236, 0.2866, 0.5000)
Ta (0.5000, 0.0000, 0.5000)
Ta (0.5764, 0.7134, 0.5000)
Ta (0.7134, 0.4236, 0.5000)
Ta (0.7866, 0.9236, 0.5000)
Ta (0.9236, 0.2134, 0.5000)
O (0.0000, 0.5000, 0.0000)
O (0.0014, 0.3427, 0.5000)
O (0.0611, 0.1320, 0.5000)
O (0.0762, 0.8069, 0.0000)
O (0.1320, 0.9389, 0.5000)
O (0.1573, 0.4986, 0.5000)
O (0.1931, 0.0762, 0.0000)
O (0.2160, 0.7160, 0.5000)
O (0.2840, 0.2160, 0.5000)
O (0.3069, 0.5762, 0.0000)
O (0.3427, 0.9986, 0.5000)
O (0.3680, 0.4389, 0.5000)
O (0.4238, 0.3069, 0.0000)
O (0.4389, 0.6320, 0.5000)
O (0.4986, 0.8427, 0.5000)
O (0.5000, 0.0000, 0.0000)
O (0.5014, 0.1573, 0.5000)
O (0.5611, 0.3680, 0.5000)
O (0.5762, 0.6931, 0.0000)
O (0.6320, 0.5611, 0.5000)
O (0.6573, 0.0014, 0.5000)
O (0.6931, 0.4238, 0.0000)
O (0.7160, 0.7840, 0.5000)
O (0.7840, 0.2840, 0.5000)
O (0.8069, 0.9238, 0.0000)
O (0.8427, 0.5014, 0.5000)
O (0.8680, 0.0611, 0.5000)
O (0.9238, 0.1931, 0.0000)
O (0.9389, 0.8680, 0.5000)
O (0.9986, 0.6573, 0.5000)